Structure and computed PXRD pattern of LaZnPd4 (a crystal structure in Alexandria, relaxed with PBE; CuKα).
Lines closer than 0.1° are merged.

```
12
Lattice="7.543 0.000 0.000 0.000 4.128 0.000 0.000 0.000 7.074" Properties=species:S:1:pos:R:3 pbc="T T T"
La 1.886 0.000 1.135
La 5.657 0.000 5.939
Zn 1.886 0.000 5.148
Zn 5.657 0.000 1.925
Pd 0.000 0.000 3.537
Pd 0.387 2.064 5.712
Pd 1.886 2.064 3.285
Pd 3.385 2.064 5.712
Pd 3.771 0.000 3.537
Pd 4.158 2.064 1.361
Pd 5.657 2.064 3.788
Pd 7.156 2.064 1.361
```

Most intense lines, 2θ = 10–80°, sorted by position:
- 34.62 deg, intensity 87, hkl 2 1 1
- 35.48 deg, intensity 39, hkl 1 1 2
- 37.98 deg, intensity 16, hkl 3 0 1
- 38.17 deg, intensity 35, hkl 0 0 3
- 41.27 deg, intensity 100, hkl 2 1 2
- 43.86 deg, intensity 40, hkl 0 2 0
- 48.26 deg, intensity 17, hkl 4 0 0
- 59.52 deg, intensity 19, hkl 0 2 3